# 1
Starting from the PBE geometry in Alexandria, the XRD peak list of Pu2CuSi6Ir was computed for Cu Kα X-rays.
Peak positions follow from Bragg's law for the DFT cell and can differ from measured ones.

Cell and atoms:
a b c (Å): 12.7002 12.7002 12.7002
angles (deg): 26.72 26.72 26.72
Element x y z (fractional)
1 Pu 0.1295 0.1295 0.1295
2 Pu 0.2792 0.2792 0.2792
3 Pu 0.7208 0.7208 0.7208
4 Pu 0.8705 0.8705 0.8705
5 Cu 0.0000 0.0000 0.0000
6 Cu 0.5000 0.5000 0.5000
7 Si 0.0638 0.6617 0.6617
8 Si 0.1906 0.1906 0.7802
9 Si 0.1906 0.7802 0.1906
10 Si 0.2198 0.8094 0.8094
11 Si 0.3383 0.3383 0.9362
12 Si 0.3383 0.9362 0.3383
13 Si 0.6617 0.0638 0.6617
14 Si 0.6617 0.6617 0.0638
15 Si 0.7802 0.1906 0.1906
16 Si 0.8094 0.2198 0.8094
17 Si 0.8094 0.8094 0.2198
18 Si 0.9362 0.3383 0.3383
19 Ir 0.4246 0.4246 0.4246
20 Ir 0.5754 0.5754 0.5754

Peak list (8 most intense, 2θ from 10° to 90°, by intensity)
d 3.651, 24.38°, rel. 1000; d 2.935, 30.45°, rel. 974; d 2.287, 39.39°, rel. 561; d 1.804, 50.59°, rel. 370; d 2.331, 38.63°, rel. 310; d 2.469, 36.39°, rel. 257; d 1.825, 49.97°, rel. 206; d 1.234, 77.29°, rel. 185

=====

# 2
Starting from the PBE geometry in Alexandria, the XRD peak list of TmPuCuIr was computed for Cu Kα X-rays.
Peak positions follow from Bragg's law for the DFT cell and can differ from measured ones.

Cell and atoms:
a b c (Å): 6.8528 6.8528 6.8528
angles (deg): 90.00 90.00 90.00
Element x y z (fractional)
1 Tm 0.0000 0.0000 0.0000
2 Tm 0.0000 0.5000 0.5000
3 Tm 0.5000 0.0000 0.5000
4 Tm 0.5000 0.5000 0.0000
5 Pu 0.0000 0.0000 0.5000
6 Pu 0.0000 0.5000 0.0000
7 Pu 0.5000 0.0000 0.0000
8 Pu 0.5000 0.5000 0.5000
9 Cu 0.2500 0.2500 0.2500
10 Cu 0.2500 0.7500 0.7500
11 Cu 0.7500 0.2500 0.7500
12 Cu 0.7500 0.7500 0.2500
13 Ir 0.2500 0.2500 0.7500
14 Ir 0.2500 0.7500 0.2500
15 Ir 0.7500 0.2500 0.2500
16 Ir 0.7500 0.7500 0.7500

Peak list (8 most intense, 2θ from 10° to 90°, by intensity)
d 2.423, 37.11°, rel. 1000; d 1.399, 66.89°, rel. 361; d 1.713, 53.49°, rel. 177; d 1.211, 79.05°, rel. 114; d 3.956, 22.47°, rel. 99; d 3.426, 26.01°, rel. 58; d 2.066, 43.82°, rel. 55; d 1.532, 60.41°, rel. 25

=====

# 3
Starting from the PBE geometry in Alexandria, the XRD peak list of CuRe2Ir was computed for Cu Kα X-rays.
Peak positions follow from Bragg's law for the DFT cell and can differ from measured ones.

Cell and atoms:
a b c (Å): 9.0477 2.6875 4.7678
angles (deg): 90.00 98.91 90.00
Element x y z (fractional)
1 Cu 0.0000 0.0000 0.0000
2 Cu 0.5000 0.5000 0.0000
3 Re 0.2461 0.0000 0.7446
4 Re 0.4932 0.0000 0.5013
5 Re 0.7461 0.5000 0.7446
6 Re 0.9932 0.5000 0.5013
7 Ir 0.2564 0.5000 0.2391
8 Ir 0.7564 0.0000 0.2391

Peak list (8 most intense, 2θ from 10° to 90°, by intensity)
d 2.233, 40.40°, rel. 1000; d 2.217, 40.69°, rel. 997; d 1.910, 47.61°, rel. 647; d 1.369, 68.57°, rel. 420; d 1.962, 46.28°, rel. 346; d 1.151, 84.07°, rel. 245; d 1.158, 83.49°, rel. 237; d 1.176, 81.92°, rel. 133

=====

# 4
Starting from the PBE geometry in Alexandria, the XRD peak list of Cu2ReIr was computed for Cu Kα X-rays.
Peak positions follow from Bragg's law for the DFT cell and can differ from measured ones.

Cell and atoms:
a b c (Å): 2.7385 2.7385 7.1877
angles (deg): 90.00 90.00 90.00
Element x y z (fractional)
1 Cu 0.0000 0.0000 0.0000
2 Cu 0.5000 0.5000 0.2260
3 Re 0.5000 0.5000 0.7392
4 Ir 0.0000 0.0000 0.4855

Peak list (8 most intense, 2θ from 10° to 90°, by intensity)
d 2.178, 41.46°, rel. 1000; d 7.188, 12.31°, rel. 426; d 1.936, 46.92°, rel. 352; d 1.159, 83.37°, rel. 261; d 1.317, 71.65°, rel. 191; d 2.559, 35.07°, rel. 188; d 1.797, 50.81°, rel. 135; d 1.369, 68.53°, rel. 112

=====

# 5
Starting from the PBE geometry in Alexandria, the XRD peak list of CuIr3Rh4 was computed for Cu Kα X-rays.
Peak positions follow from Bragg's law for the DFT cell and can differ from measured ones.

Cell and atoms:
a b c (Å): 8.5703 3.8318 7.7026
angles (deg): 90.00 116.81 90.00
Element x y z (fractional)
1 Cu 0.0000 0.0000 0.0000
2 Cu 0.5000 0.5000 0.0000
3 Ir 0.0000 0.0000 0.5000
4 Ir 0.0022 0.5000 0.7454
5 Ir 0.4978 0.0000 0.2546
6 Ir 0.5000 0.5000 0.5000
7 Ir 0.5022 0.0000 0.7454
8 Ir 0.9978 0.5000 0.2546
9 Rh 0.2454 0.0000 0.3704
10 Rh 0.2460 0.5000 0.1209
11 Rh 0.2540 0.0000 0.8791
12 Rh 0.2546 0.5000 0.6296
13 Rh 0.7454 0.5000 0.3704
14 Rh 0.7460 0.0000 0.1209
15 Rh 0.7540 0.5000 0.8791
16 Rh 0.7546 0.0000 0.6296

Peak list (8 most intense, 2θ from 10° to 90°, by intensity)
d 2.215, 40.74°, rel. 1000; d 1.914, 47.50°, rel. 322; d 1.926, 47.20°, rel. 163; d 1.358, 69.17°, rel. 154; d 1.156, 83.68°, rel. 124; d 1.353, 69.44°, rel. 102; d 1.161, 83.25°, rel. 62; d 1.159, 83.36°, rel. 62

=====

# 6
Starting from the PBE geometry in Alexandria, the XRD peak list of Cu2IrRh6 was computed for Cu Kα X-rays.
Peak positions follow from Bragg's law for the DFT cell and can differ from measured ones.

Cell and atoms:
a b c (Å): 7.4247 7.4247 7.4247
angles (deg): 149.43 138.58 52.35
Element x y z (fractional)
1 Cu 0.0000 0.0000 0.0000
2 Cu 0.1983 0.1983 0.0000
3 Ir 0.5032 0.0032 0.5000
4 Rh 0.0263 0.7854 0.2409
5 Rh 0.1414 0.3997 0.7417
6 Rh 0.3473 0.5986 0.7487
7 Rh 0.5445 0.7854 0.7591
8 Rh 0.6580 0.3997 0.2583
9 Rh 0.8499 0.5986 0.2513

Peak list (8 most intense, 2θ from 10° to 90°, by intensity)
d 2.203, 40.96°, rel. 1000; d 2.152, 41.98°, rel. 852; d 1.958, 46.38°, rel. 485; d 1.696, 54.08°, rel. 304; d 2.062, 43.90°, rel. 259; d 1.128, 86.24°, rel. 223; d 1.282, 73.95°, rel. 204; d 6.663, 13.29°, rel. 199

=====

# 7
Starting from the PBE geometry in Alexandria, the XRD peak list of CuIr3Ru was computed for Cu Kα X-rays.
Peak positions follow from Bragg's law for the DFT cell and can differ from measured ones.

Cell and atoms:
a b c (Å): 4.4256 4.4256 4.4256
angles (deg): 90.00 90.00 90.00
Element x y z (fractional)
1 Cu 0.0000 0.0000 0.0000
2 Ir 0.0000 0.0000 0.5000
3 Ir 0.0000 0.5000 0.0000
4 Ir 0.5000 0.0000 0.0000
5 Ru 0.5000 0.5000 0.5000

Peak list (8 most intense, 2θ from 10° to 90°, by intensity)
d 2.555, 35.12°, rel. 1000; d 2.213, 40.78°, rel. 755; d 1.565, 59.04°, rel. 510; d 1.334, 70.58°, rel. 407; d 4.426, 20.06°, rel. 198; d 1.278, 74.23°, rel. 173; d 1.979, 45.85°, rel. 96; d 1.106, 88.34°, rel. 86

=====

# 8
Starting from the PBE geometry in Alexandria, the XRD peak list of Sc6CuIr2 was computed for Cu Kα X-rays.
Peak positions follow from Bragg's law for the DFT cell and can differ from measured ones.

Cell and atoms:
a b c (Å): 4.7522 4.7522 8.7381
angles (deg): 90.00 90.00 120.00
Element x y z (fractional)
1 Sc 0.0000 0.0000 0.1911
2 Sc 0.0000 0.0000 0.8089
3 Sc 0.3333 0.6667 0.0119
4 Sc 0.3333 0.6667 0.3968
5 Sc 0.6667 0.3333 0.6032
6 Sc 0.6667 0.3333 0.9881
7 Cu 0.0000 0.0000 0.5000
8 Ir 0.3333 0.6667 0.7088
9 Ir 0.6667 0.3333 0.2912

Peak list (8 most intense, 2θ from 10° to 90°, by intensity)
d 2.377, 37.85°, rel. 1000; d 3.723, 23.90°, rel. 469; d 1.372, 68.36°, rel. 310; d 1.681, 54.61°, rel. 155; d 1.930, 47.10°, rel. 103; d 8.738, 10.12°, rel. 97; d 1.188, 80.89°, rel. 97; d 2.003, 45.27°, rel. 91

=====

# 9
Starting from the PBE geometry in Alexandria, the XRD peak list of Sc4Cu2Ir was computed for Cu Kα X-rays.
Peak positions follow from Bragg's law for the DFT cell and can differ from measured ones.

Cell and atoms:
a b c (Å): 7.8114 7.8114 7.8114
angles (deg): 34.06 34.06 34.06
Element x y z (fractional)
1 Sc 0.1221 0.1221 0.1221
2 Sc 0.3746 0.3746 0.3746
3 Sc 0.6254 0.6254 0.6254
4 Sc 0.8779 0.8779 0.8779
5 Cu 0.2451 0.2451 0.2451
6 Cu 0.7549 0.7549 0.7549
7 Ir 0.5000 0.5000 0.5000

Peak list (8 most intense, 2θ from 10° to 90°, by intensity)
d 2.288, 39.39°, rel. 1000; d 2.263, 39.84°, rel. 948; d 7.351, 12.04°, rel. 879; d 3.900, 22.80°, rel. 538; d 1.609, 57.27°, rel. 311; d 1.316, 71.72°, rel. 307; d 2.184, 41.33°, rel. 270; d 2.466, 36.43°, rel. 254

=====

# 10
Starting from the PBE geometry in Alexandria, the XRD peak list of ScCuIr4 was computed for Cu Kα X-rays.
Peak positions follow from Bragg's law for the DFT cell and can differ from measured ones.

Cell and atoms:
a b c (Å): 5.1812 5.1812 5.1812
angles (deg): 60.00 60.00 60.00
Element x y z (fractional)
1 Sc 0.0000 0.0000 0.0000
2 Cu 0.7500 0.7500 0.7500
3 Ir 0.3751 0.3751 0.3751
4 Ir 0.3751 0.3751 0.8747
5 Ir 0.3751 0.8747 0.3751
6 Ir 0.8747 0.3751 0.3751

Peak list (8 most intense, 2θ from 10° to 90°, by intensity)
d 2.209, 40.85°, rel. 1000; d 2.115, 42.75°, rel. 801; d 4.230, 21.00°, rel. 756; d 1.295, 73.05°, rel. 324; d 1.105, 88.52°, rel. 320; d 1.410, 66.28°, rel. 317; d 1.832, 49.78°, rel. 284; d 1.681, 54.59°, rel. 189

=====

# 11
Starting from the PBE geometry in Alexandria, the XRD peak list of Cu2SiIr2 was computed for Cu Kα X-rays.
Peak positions follow from Bragg's law for the DFT cell and can differ from measured ones.

Cell and atoms:
a b c (Å): 6.0485 6.0485 4.0264
angles (deg): 90.00 90.00 90.00
Element x y z (fractional)
1 Cu 0.1564 0.3436 0.0000
2 Cu 0.3436 0.8436 0.0000
3 Cu 0.6564 0.1564 0.0000
4 Cu 0.8436 0.6564 0.0000
5 Si 0.0000 0.0000 0.5000
6 Si 0.5000 0.5000 0.5000
7 Ir 0.1481 0.6481 0.5000
8 Ir 0.3519 0.1481 0.5000
9 Ir 0.6481 0.8519 0.5000
10 Ir 0.8519 0.3519 0.5000

Peak list (8 most intense, 2θ from 10° to 90°, by intensity)
d 2.245, 40.16°, rel. 1000; d 4.026, 22.08°, rel. 264; d 1.913, 47.54°, rel. 194; d 4.277, 20.77°, rel. 185; d 2.705, 33.12°, rel. 179; d 2.013, 45.03°, rel. 170; d 1.387, 67.55°, rel. 134; d 1.202, 79.76°, rel. 133

=====

# 12
Starting from the PBE geometry in Alexandria, the XRD peak list of CuSi2Ir was computed for Cu Kα X-rays.
Peak positions follow from Bragg's law for the DFT cell and can differ from measured ones.

Cell and atoms:
a b c (Å): 2.9305 4.5646 4.5367
angles (deg): 90.00 107.53 90.00
Element x y z (fractional)
1 Cu 0.0000 0.0000 0.0000
2 Si 0.1107 0.5000 0.2254
3 Si 0.7043 0.0000 0.4465
4 Ir 0.8146 0.5000 0.6629

Peak list (8 most intense, 2θ from 10° to 90°, by intensity)
d 3.140, 28.43°, rel. 1000; d 2.756, 32.49°, rel. 613; d 2.794, 32.03°, rel. 558; d 1.955, 46.46°, rel. 542; d 2.282, 39.48°, rel. 539; d 1.892, 48.09°, rel. 513; d 4.326, 20.53°, rel. 492; d 1.857, 49.07°, rel. 467